Record 1
The following is a simulated powder diffractogram of Sr3Pr. It was derived from a DFT-relaxed cell (PBE, Alexandria), using Cu Kα X-rays.
Peak positions follow from Bragg's law for the DFT cell and can differ from measured ones.

```
data_Sr3Pr
_chemical_formula_sum 'Sr3 Pr1'
_space_group_name_H-M_alt 'P m -3 m'
_space_group_IT_number 221
_space_group_name_Hall '-P 4 2 3'
_cell_length_a 5.776
_cell_length_b 5.776
_cell_length_c 5.776
_cell_angle_alpha 90.00
_cell_angle_beta 90.00
_cell_angle_gamma 90.00
loop_
_atom_site_label
_atom_site_fract_x
_atom_site_fract_y
_atom_site_fract_z
_atom_site_occupancy
Sr1 0.000 0.000 0.500 1
Pr1 0.500 0.500 0.500 1
```

Largest 12 diffraction maxima, by angle, 10 to 80 degrees two-theta:
2θ/deg, I/Imax, hkl
15.34, 5, 1 0 0
21.76, 4, 1 1 0
26.73, 100, 1 1 1
30.97, 51, 2 0 0
34.73, 3, 2 1 0
38.17, 2, 2 1 1
44.36, 38, 2 2 0
52.55, 46, 3 1 1
55.08, 13, 2 2 2
64.54, 6, 4 0 0
71.16, 18, 3 3 1
73.30, 17, 4 2 0

Record 2
The following is a simulated powder diffractogram of SrTb4Pr8. It was derived from a DFT-relaxed cell (PBE, Alexandria), using Cu Kα X-rays.
Peak positions follow from Bragg's law for the DFT cell and can differ from measured ones.

```
data_SrTb4Pr8
_chemical_formula_sum 'Sr1 Tb4 Pr8'
_space_group_name_H-M_alt 'P -1'
_space_group_IT_number 2
_cell_length_a 6.276
_cell_length_b 6.868
_cell_length_c 12.530
_cell_angle_alpha 79.91
_cell_angle_beta 77.10
_cell_angle_gamma 64.33
loop_
_space_group_symop_operation_xyz
'x,y,z'
'-x,-y,-z'
loop_
_atom_site_label
_atom_site_fract_x
_atom_site_fract_y
_atom_site_fract_z
_atom_site_occupancy
Sr1 0.000 0.000 0.000 1
Tb1 0.228 0.234 0.463 1
Tb2 0.395 0.123 0.175 1
Pr1 0.031 0.368 0.749 1
Pr2 0.179 0.832 0.680 1
Pr3 0.369 0.703 0.385 1
Pr4 0.381 0.424 0.909 1
```

Largest 12 diffraction maxima, by angle, 10 to 80 degrees two-theta:
2θ/deg, I/Imax, hkl
28.46, 31, 2 1 1
30.23, 39, -1 1 2
30.57, 100, 0 2 -1
31.11, 83, 1 0 4
31.69, 21, 2 0 1
32.34, 14, 2 2 1
33.04, 10, 2 0 2
33.32, 13, 2 2 0
42.60, 14, 2 3 0
45.85, 12, 0 1 6
54.56, 20, 1 -2 5
61.31, 12, 3 3 -3

Record 3
The following is a simulated powder diffractogram of SrPrTm2. It was derived from a DFT-relaxed cell (PBE, Alexandria), using Cu Kα X-rays.
Peak positions follow from Bragg's law for the DFT cell and can differ from measured ones.

```
data_SrPrTm2
_chemical_formula_sum 'Sr3 Pr3 Tm6'
_space_group_name_H-M_alt 'R 3 m'
_space_group_IT_number 160
_space_group_name_Hall 'R 3 -2"'
_cell_length_a 3.6846
_cell_length_b 3.6846
_cell_length_c 36.3640
_cell_angle_alpha 90.00
_cell_angle_beta 90.00
_cell_angle_gamma 120.00
loop_
_atom_site_label
_atom_site_fract_x
_atom_site_fract_y
_atom_site_fract_z
_atom_site_occupancy
Sr1 0.0000 0.0000 0.0000 1
Pr1 0.0000 0.0000 0.1658 1
Tm1 0.0000 0.0000 0.5777 1
Tm2 0.0000 0.0000 0.7549 1
```

Largest 12 diffraction maxima, by angle, 10 to 80 degrees two-theta:
2θ/deg, I/Imax, hkl
28.40, 32, 0 1 2
29.48, 42, 0 0 12
30.59, 100, 0 1 5
32.94, 62, 1 0 7
37.50, 29, 1 0 10
49.47, 33, 1 1 0
51.43, 25, 0 1 17
58.64, 36, 1 1 12
59.30, 15, 2 0 5
60.73, 11, 0 2 7
63.39, 13, 1 0 22
74.14, 9, 2 0 17

Record 4
The following is a simulated powder diffractogram of Sr2PrZn6. It was derived from a DFT-relaxed cell (PBE, Alexandria), using Cu Kα X-rays.
Peak positions follow from Bragg's law for the DFT cell and can differ from measured ones.

```
data_Sr2PrZn6
_chemical_formula_sum 'Sr2 Pr1 Zn6'
_space_group_name_H-M_alt 'P 6/m m m'
_space_group_IT_number 191
_space_group_name_Hall '-P 6 2'
_cell_length_a 7.9553
_cell_length_b 7.9553
_cell_length_c 3.9856
_cell_angle_alpha 90.00
_cell_angle_beta 90.00
_cell_angle_gamma 120.00
loop_
_atom_site_label
_atom_site_fract_x
_atom_site_fract_y
_atom_site_fract_z
_atom_site_occupancy
Sr1 0.3333 0.6667 0.0000 1
Pr1 0.0000 0.0000 0.0000 1
Zn1 0.0000 0.3304 0.5000 1
```

Largest 12 diffraction maxima, by angle, 10 to 80 degrees two-theta:
2θ/deg, I/Imax, hkl
12.85, 5, 1 0 0
22.34, 6, 0 0 1
25.84, 2, 1 0 1
31.78, 100, 1 1 1
34.42, 2, 2 0 1
39.23, 55, 3 0 0
45.53, 14, 0 0 2
51.34, 26, 2 2 1
61.62, 29, 3 0 2
66.47, 23, 4 1 1
71.10, 9, 3 3 0
75.44, 8, 1 1 3

Record 5
The following is a simulated powder diffractogram of PrTaTe2. It was derived from a DFT-relaxed cell (PBE, Alexandria), using Cu Kα X-rays.
Peak positions follow from Bragg's law for the DFT cell and can differ from measured ones.

```
data_PrTaTe2
_chemical_formula_sum 'Pr3 Ta3 Te6'
_space_group_name_H-M_alt 'R -3 m'
_space_group_IT_number 166
_space_group_name_Hall '-R 3 2"'
_cell_length_a 3.6460
_cell_length_b 3.6460
_cell_length_c 30.6554
_cell_angle_alpha 90.00
_cell_angle_beta 90.00
_cell_angle_gamma 120.00
loop_
_atom_site_label
_atom_site_fract_x
_atom_site_fract_y
_atom_site_fract_z
_atom_site_occupancy
Pr1 0.0000 0.0000 0.0000 1
Ta1 0.0000 0.0000 0.5000 1
Te1 0.0000 0.0000 0.1059 1
```

Largest 12 diffraction maxima, by angle, 10 to 80 degrees two-theta:
2θ/deg, I/Imax, hkl
17.36, 19, 0 0 6
28.42, 18, 1 0 1
28.87, 100, 0 1 2
31.88, 42, 0 1 5
36.89, 77, 0 1 8
41.04, 82, 1 0 10
50.03, 49, 1 1 0
58.80, 14, 2 0 2
63.76, 16, 2 0 8
66.63, 19, 0 2 10
67.99, 15, 0 1 20
76.55, 24, 1 1 18

Record 6
The following is a simulated powder diffractogram of Tb8Pr3. It was derived from a DFT-relaxed cell (PBE, Alexandria), using Cu Kα X-rays.
Peak positions follow from Bragg's law for the DFT cell and can differ from measured ones.

```
data_Tb8Pr3
_chemical_formula_sum 'Tb24 Pr9'
_space_group_name_H-M_alt 'R -3 m'
_space_group_IT_number 166
_space_group_name_Hall '-R 3 2"'
_cell_length_a 3.6042
_cell_length_b 3.6042
_cell_length_c 96.7230
_cell_angle_alpha 90.00
_cell_angle_beta 90.00
_cell_angle_gamma 120.00
loop_
_atom_site_label
_atom_site_fract_x
_atom_site_fract_y
_atom_site_fract_z
_atom_site_occupancy
Tb1 0.0000 0.0000 0.0448 1
Tb2 0.0000 0.0000 0.1360 1
Tb3 0.0000 0.0000 0.3184 1
Tb4 0.0000 0.0000 0.4079 1
Pr1 0.0000 0.0000 0.2280 1
Pr2 0.0000 0.0000 0.5000 1
```

Largest 10 diffraction maxima, by angle, 10 to 80 degrees two-theta:
2θ/deg, I/Imax, hkl
30.39, 100, 0 1 11
30.50, 32, 0 0 33
35.26, 67, 1 0 22
50.65, 24, 1 1 0
50.80, 23, 0 1 44
60.27, 43, 2 0 11
60.42, 13, 1 0 55
63.22, 13, 0 2 22
63.48, 4, 0 0 66
74.57, 7, 2 0 44

Record 7
The following is a simulated powder diffractogram of Tb5Pr. It was derived from a DFT-relaxed cell (PBE, Alexandria), using Cu Kα X-rays.
Peak positions follow from Bragg's law for the DFT cell and can differ from measured ones.

```
data_Tb5Pr
_chemical_formula_sum 'Tb10 Pr2'
_space_group_name_H-M_alt 'C 1 2/m 1'
_space_group_IT_number 12
_cell_length_a 6.203
_cell_length_b 10.753
_cell_length_c 6.208
_cell_angle_alpha 90.00
_cell_angle_beta 109.35
_cell_angle_gamma 90.00
loop_
_space_group_symop_operation_xyz
'x,y,z'
'-x,-y,-z'
'-x,y,-z'
'x,-y,z'
'x+1/2,y+1/2,z'
'-x+1/2,-y+1/2,-z'
'-x+1/2,y+1/2,-z'
'x+1/2,-y+1/2,z'
loop_
_atom_site_label
_atom_site_fract_x
_atom_site_fract_y
_atom_site_fract_z
_atom_site_occupancy
Tb1 0.000 0.000 0.000 1
Tb2 0.000 0.167 0.500 1
Tb3 0.000 0.333 0.000 1
Pr1 0.000 0.500 0.500 1
```

Largest 8 diffraction maxima, by angle, 10 to 80 degrees two-theta:
2θ/deg, I/Imax, hkl
30.55, 100, 2 0 0
35.42, 51, 1 3 1
50.96, 36, 2 0 2
60.56, 29, 3 3 1
60.64, 14, 4 0 -2
63.59, 12, 4 0 0
74.90, 4, 2 6 2
75.04, 2, 4 0 -4

Record 8
The following is a simulated powder diffractogram of TbPr6. It was derived from a DFT-relaxed cell (PBE, Alexandria), using Cu Kα X-rays.
Peak positions follow from Bragg's law for the DFT cell and can differ from measured ones.

```
data_TbPr6
_chemical_formula_sum 'Tb2 Pr12'
_space_group_name_H-M_alt 'P 4/n b m'
_space_group_IT_number 125
_cell_length_a 6.690
_cell_length_b 6.690
_cell_length_c 11.459
_cell_angle_alpha 90.00
_cell_angle_beta 90.00
_cell_angle_gamma 90.00
loop_
_space_group_symop_operation_xyz
'x,y,z'
'-x,-y,-z'
'-y+1/2,x,z'
'y+1/2,-x,-z'
'-x+1/2,-y+1/2,z'
'x+1/2,y+1/2,-z'
'y,-x+1/2,z'
'-y,x+1/2,-z'
'x,-y+1/2,-z'
'-x,y+1/2,z'
'-y+1/2,-x+1/2,-z'
'y+1/2,x+1/2,z'
'-x+1/2,y,-z'
'x+1/2,-y,z'
'y,x,-z'
'-y,-x,z'
loop_
_atom_site_label
_atom_site_fract_x
_atom_site_fract_y
_atom_site_fract_z
_atom_site_occupancy
Tb1 0.250 0.750 0.000 1
Pr1 0.081 0.581 0.360 1
Pr2 0.250 0.250 0.137 1
```

Largest 12 diffraction maxima, by angle, 10 to 80 degrees two-theta:
2θ/deg, I/Imax, hkl
23.29, 23, 0 0 3
27.78, 100, 2 0 1
30.07, 77, 1 1 3
30.90, 65, 2 1 1
31.22, 27, 0 0 4
33.80, 73, 2 1 2
35.68, 21, 2 0 3
38.05, 27, 2 2 0
50.14, 22, 2 1 5
53.87, 53, 3 1 4
59.17, 22, 4 1 2
63.87, 27, 3 3 3

Record 9
The following is a simulated powder diffractogram of Tb3Pr. It was derived from a DFT-relaxed cell (PBE, Alexandria), using Cu Kα X-rays.
Peak positions follow from Bragg's law for the DFT cell and can differ from measured ones.

```
data_Tb3Pr
_chemical_formula_sum 'Tb6 Pr2'
_space_group_name_H-M_alt 'I m m 2'
_space_group_IT_number 44
_cell_length_a 3.662
_cell_length_b 11.555
_cell_length_c 6.305
_cell_angle_alpha 90.00
_cell_angle_beta 90.00
_cell_angle_gamma 90.00
loop_
_space_group_symop_operation_xyz
'x,y,z'
'-x,-y,z'
'-x,y,z'
'x,-y,z'
'x+1/2,y+1/2,z+1/2'
'-x+1/2,-y+1/2,z+1/2'
'-x+1/2,y+1/2,z+1/2'
'x+1/2,-y+1/2,z+1/2'
loop_
_atom_site_label
_atom_site_fract_x
_atom_site_fract_y
_atom_site_fract_z
_atom_site_occupancy
Tb1 0.000 0.000 0.000 1
Tb2 0.000 0.252 0.332 1
Pr1 0.000 0.500 0.997 1
```

Largest 12 diffraction maxima, by angle, 10 to 80 degrees two-theta:
2θ/deg, I/Imax, hkl
28.18, 24, 1 0 1
28.31, 12, 0 0 2
30.96, 37, 0 4 0
32.24, 100, 1 2 1
32.35, 49, 0 2 2
42.38, 24, 0 4 2
49.80, 10, 2 0 0
50.04, 19, 1 0 3
55.90, 31, 1 6 1
59.80, 11, 2 4 0
60.01, 23, 1 4 3
60.65, 16, 2 2 2

Record 10
The following is a simulated powder diffractogram of Tb2Pr13. It was derived from a DFT-relaxed cell (PBE, Alexandria), using Cu Kα X-rays.
Peak positions follow from Bragg's law for the DFT cell and can differ from measured ones.

```
data_Tb2Pr13
_chemical_formula_sum 'Tb2 Pr13'
_space_group_name_H-M_alt 'P -1'
_space_group_IT_number 2
_cell_length_a 6.856
_cell_length_b 9.253
_cell_length_c 9.257
_cell_angle_alpha 66.58
_cell_angle_beta 82.43
_cell_angle_gamma 82.34
loop_
_space_group_symop_operation_xyz
'x,y,z'
'-x,-y,-z'
loop_
_atom_site_label
_atom_site_fract_x
_atom_site_fract_y
_atom_site_fract_z
_atom_site_occupancy
Tb1 0.099 0.268 0.431 1
Pr1 0.000 0.500 0.000 1
Pr2 0.101 0.936 0.766 1
Pr3 0.194 0.694 0.208 1
Pr4 0.298 0.129 0.972 1
Pr5 0.304 0.463 0.638 1
Pr6 0.397 0.898 0.405 1
Pr7 0.499 0.668 0.834 1
```

Largest 12 diffraction maxima, by angle, 10 to 80 degrees two-theta:
2θ/deg, I/Imax, hkl
30.53, 100, 1 -2 1
30.60, 18, 2 1 2
39.75, 6, 2 3 0
43.72, 17, 3 2 0
51.05, 5, 2 4 4
54.21, 21, 3 0 -3
54.30, 13, 3 -3 0
60.62, 13, 1 6 3
60.70, 6, 4 3 3
63.54, 5, -4 2 2
72.06, 5, -3 3 5
77.64, 6, -1 7 4

Record 11
The following is a simulated powder diffractogram of Tb6Pr5. It was derived from a DFT-relaxed cell (PBE, Alexandria), using Cu Kα X-rays.
Peak positions follow from Bragg's law for the DFT cell and can differ from measured ones.

```
data_Tb6Pr5
_chemical_formula_sum 'Tb12 Pr10'
_space_group_name_H-M_alt 'I m m m'
_space_group_IT_number 71
_space_group_name_Hall '-I 2 2'
_cell_length_a 5.672
_cell_length_b 8.261
_cell_length_c 16.199
_cell_angle_alpha 90.00
_cell_angle_beta 90.00
_cell_angle_gamma 90.00
loop_
_atom_site_label
_atom_site_fract_x
_atom_site_fract_y
_atom_site_fract_z
_atom_site_occupancy
Tb1 0.000 0.204 0.136 1
Tb2 0.000 0.295 0.500 1
Pr1 0.000 0.000 0.338 1
Pr2 0.000 0.500 0.000 1
Pr3 0.000 0.500 0.301 1
```

Largest 12 diffraction maxima, by angle, 10 to 80 degrees two-theta:
2θ/deg, I/Imax, hkl
29.17, 20, 1 1 4
31.51, 100, 2 0 0
31.81, 13, 1 0 5
33.00, 10, 0 3 1
33.18, 10, 0 0 6
46.30, 8, 2 3 1
46.44, 8, 2 0 6
51.59, 8, 0 3 7
56.14, 16, 3 2 3
60.49, 10, 2 2 8
61.74, 9, 2 3 7
62.93, 9, 1 5 4

Record 12
The following is a simulated powder diffractogram of Tb17Pr2. It was derived from a DFT-relaxed cell (PBE, Alexandria), using Cu Kα X-rays.
Peak positions follow from Bragg's law for the DFT cell and can differ from measured ones.

```
data_Tb17Pr2
_chemical_formula_sum 'Tb51 Pr6'
_space_group_name_H-M_alt 'R -3 m'
_space_group_IT_number 166
_space_group_name_Hall '-R 3 2"'
_cell_length_a 11.2655
_cell_length_b 11.2655
_cell_length_c 17.6050
_cell_angle_alpha 90.00
_cell_angle_beta 90.00
_cell_angle_gamma 120.00
loop_
_atom_site_label
_atom_site_fract_x
_atom_site_fract_y
_atom_site_fract_z
_atom_site_occupancy
Tb1 0.0000 0.0000 0.0951 1
Tb2 0.0000 0.2970 0.0000 1
Tb3 0.0000 0.5000 0.5000 1
Tb4 0.0129 0.5065 0.1370 1
Pr1 0.0000 0.0000 0.3270 1
```

Largest 12 diffraction maxima, by angle, 10 to 80 degrees two-theta:
2θ/deg, I/Imax, hkl
27.29, 32, 0 2 4
27.43, 29, 3 0 0
30.47, 29, 0 0 6
31.33, 58, 2 0 5
31.45, 100, 0 3 3
31.77, 59, 2 2 0
34.46, 21, 1 1 6
35.35, 74, 2 2 3
48.16, 17, 1 2 8
54.76, 20, 0 3 9
56.32, 30, 0 4 8
56.59, 29, 6 0 0